The following is a simulated XRD peak list of NdGaCl. It was derived from a DFT-relaxed cell (PBE, Alexandria), using CuKα.

Principal peaks in the range 2θ = 10–80°, low angle first:
d 3.669, 24.3 deg, intensity 50, hkl 0 1 1; d 3.542, 25.1 deg, intensity 47, hkl 1 0 1; d 3.088, 28.9 deg, intensity 24, hkl 0 0 3; d 2.767, 32.4 deg, intensity 20, hkl 1 1 0; d 2.651, 33.8 deg, intensity 42, hkl 1 1 1; d 2.443, 36.8 deg, intensity 34, hkl 0 1 3; d 2.405, 37.4 deg, intensity 31, hkl 1 0 3; d 2.375, 37.9 deg, intensity 100, hkl 1 1 2; d 1.998, 45.4 deg, intensity 21, hkl 0 2 0; d 1.917, 47.4 deg, intensity 19, hkl 2 0 0

Structural model:
```
data_NdGaCl
_chemical_formula_sum 'Nd2 Ga2 Cl2'
_symmetry_space_group_name_H-M 'P m m n'
_symmetry_Int_Tables_number 59
_cell_length_a 3.834
_cell_length_b 3.996
_cell_length_c 9.263
_cell_angle_alpha 90.00
_cell_angle_beta 90.00
_cell_angle_gamma 90.00
loop_
_symmetry_equiv_pos_as_xyz
'x,y,z'
'-x,-y,-z'
'-x+1/2,-y+1/2,z'
'x+1/2,y+1/2,-z'
'x+1/2,-y,-z'
'-x+1/2,y,z'
'-x,y+1/2,-z'
'x,-y+1/2,z'
loop_
_atom_site_label
_atom_site_type_symbol
_atom_site_fract_x
_atom_site_fract_y
_atom_site_fract_z
_atom_site_occupancy
Nd1 Nd 0.250 0.250 0.232 1
Ga1 Ga 0.250 0.750 0.498 1
Cl1 Cl 0.250 0.250 0.883 1
```